Record 1
The following is a theoretical powder diffractogram of CaZn2Si2O8. It was derived from a crystal structure in the Materials Project, relaxed with PBE, using Cu Kα (weighted mean of Kα1 and Kα2).
Kinematic intensities with the Lorentz-polarization factor, no thermal factor.

Structural model:
```
data_CaZn2Si2O8
_chemical_formula_sum 'Ca4 Zn8 Si8 O32'
_symmetry_space_group_name_H-M 'A m a 2'
_symmetry_Int_Tables_number 40
_symmetry_space_group_name_Hall 'A 2 -2a'
_cell_length_a 12.748
_cell_length_b 6.294
_cell_length_c 8.611
_cell_angle_alpha 90.00
_cell_angle_beta 90.00
_cell_angle_gamma 90.00
loop_
_atom_site_label
_atom_site_fract_x
_atom_site_fract_y
_atom_site_fract_z
Ca1 0.250 0.242 0.000
Zn1 0.000 0.000 0.387
Zn2 0.000 0.000 0.895
Si1 0.133 0.240 0.629
O1 0.045 0.246 0.771
O2 0.124 0.023 0.528
O3 0.125 0.459 0.527
O4 0.250 0.240 0.720
O5 0.250 0.268 0.285
```

Top 10 peaks for 5 to 70 degrees two-theta, low angle first:
2θ 13.9, d = 6.374 Å, I 54.3, (2 0 0)
2θ 18.8, d = 4.720 Å, I 30.5, (1 1 1)
2θ 20.6, d = 4.305 Å, I 26.6, (0 0 2)
2θ 25.0, d = 3.568 Å, I 86.8, (2 0 2)
2θ 27.4, d = 3.260 Å, I 42.7, (3 1 1)
2θ 31.7, d = 2.822 Å, I 77.6, (2 2 0)
2θ 35.0, d = 2.561 Å, I 100.0, (4 0 2)
2θ 35.3, d = 2.541 Å, I 59.4, (0 2 2)
2θ 38.1, d = 2.360 Å, I 50.7, (2 2 2)
2θ 59.6, d = 1.552 Å, I 59.3, (4 2 4)

Record 2
The following is a theoretical powder diffractogram of LiMg2. It was derived from a crystal structure in the Materials Project, relaxed with PBE, using Cu Kα (weighted mean of Kα1 and Kα2).
Kinematic intensities with the Lorentz-polarization factor, no thermal factor.

Structural model:
```
data_LiMg2
_chemical_formula_sum 'Li4 Mg8'
_symmetry_space_group_name_H-M 'C 1 2/c 1'
_symmetry_Int_Tables_number 15
_symmetry_space_group_name_Hall '-C 2yc'
_cell_length_a 9.256
_cell_length_b 5.515
_cell_length_c 5.902
_cell_angle_alpha 90.00
_cell_angle_beta 119.39
_cell_angle_gamma 90.00
loop_
_atom_site_label
_atom_site_fract_x
_atom_site_fract_y
_atom_site_fract_z
Li1 0.000 0.085 0.250
Mg1 0.168 0.414 0.750
```

Top 10 peaks for 5 to 70 degrees two-theta, low angle first:
2θ 19.5, d = 4.553 Å, I 65.0, (1 1 0)
2θ 22.0, d = 4.033 Å, I 36.4, (2 0 0)
2θ 32.5, d = 2.758 Å, I 20.9, (0 2 0)
2θ 33.3, d = 2.691 Å, I 45.6, (3 1 -1)
2θ 34.9, d = 2.572 Å, I 76.1, (0 0 2)
2θ 37.0, d = 2.430 Å, I 100.0, (0 2 1)
2θ 37.2, d = 2.417 Å, I 93.4, (3 1 0)
2θ 38.2, d = 2.354 Å, I 86.4, (3 1 -2)
2θ 58.4, d = 1.579 Å, I 32.3, (3 3 -1)
2θ 63.9, d = 1.456 Å, I 20.1, (0 2 3)

Record 3
The following is a theoretical powder diffractogram of ThMn4Al8. It was derived from a crystal structure in the Materials Project, relaxed with PBE, using Cu Kα (weighted mean of Kα1 and Kα2).
Kinematic intensities with the Lorentz-polarization factor, no thermal factor.

Structural model:
```
data_ThMn4Al8
_chemical_formula_sum 'Th2 Mn8 Al16'
_symmetry_space_group_name_H-M 'I 4/m m m'
_symmetry_Int_Tables_number 139
_symmetry_space_group_name_Hall '-I 4 2'
_cell_length_a 8.890
_cell_length_b 8.890
_cell_length_c 4.957
_cell_angle_alpha 90.00
_cell_angle_beta 90.00
_cell_angle_gamma 90.00
loop_
_atom_site_label
_atom_site_fract_x
_atom_site_fract_y
_atom_site_fract_z
Th1 0.000 0.000 0.000
Mn1 0.250 0.250 0.250
Al1 0.000 0.223 0.500
Al2 0.000 0.345 0.000
```

Top 10 peaks for 5 to 70 degrees two-theta, low angle first:
2θ 14.1, d = 6.286 Å, I 87.8, (1 1 0)
2θ 20.5, d = 4.329 Å, I 80.3, (1 0 1)
2θ 28.4, d = 3.143 Å, I 53.2, (2 2 0)
2θ 28.8, d = 3.101 Å, I 100.0, (2 1 1)
2θ 31.8, d = 2.811 Å, I 43.7, (3 1 0)
2θ 35.3, d = 2.543 Å, I 58.7, (3 0 1)
2θ 40.6, d = 2.222 Å, I 67.4, (4 0 0)
2θ 40.9, d = 2.208 Å, I 95.3, (3 2 1)
2θ 41.7, d = 2.165 Å, I 94.2, (2 0 2)
2θ 59.6, d = 1.551 Å, I 38.8, (4 2 2)

Record 4
The following is a theoretical powder diffractogram of Mn2PbN2. It was derived from a crystal structure in the Materials Project, relaxed with PBE, using Cu Kα (weighted mean of Kα1 and Kα2).
Kinematic intensities with the Lorentz-polarization factor, no thermal factor.

Structural model:
```
data_Mn2PbN2
_chemical_formula_sum 'Mn8 Pb4 N8'
_symmetry_space_group_name_H-M 'I 4/m c m'
_symmetry_Int_Tables_number 140
_symmetry_space_group_name_Hall '-I 4 2c'
_cell_length_a 6.194
_cell_length_b 6.194
_cell_length_c 8.731
_cell_angle_alpha 90.00
_cell_angle_beta 90.00
_cell_angle_gamma 90.00
loop_
_atom_site_label
_atom_site_fract_x
_atom_site_fract_y
_atom_site_fract_z
Mn1 0.142 0.358 0.000
Pb1 0.000 0.000 0.250
N1 0.153 0.347 0.500
```

Top 10 peaks for 5 to 70 degrees two-theta, low angle first:
2θ 20.3, d = 4.379 Å, I 32.9, (1 1 0)
2θ 28.9, d = 3.093 Å, I 100.0, (1 1 2)
2θ 35.5, d = 2.526 Å, I 40.2, (2 0 2)
2θ 41.2, d = 2.190 Å, I 10.8, (2 2 0)
2θ 41.4, d = 2.183 Å, I 13.7, (0 0 4)
2θ 46.4, d = 1.958 Å, I 40.1, (3 1 0)
2θ 51.2, d = 1.786 Å, I 17.1, (2 0 4)
2θ 63.8, d = 1.459 Å, I 14.0, (4 0 2)
2θ 63.9, d = 1.458 Å, I 20.1, (3 1 4)
2θ 67.7, d = 1.385 Å, I 16.5, (3 3 2)

Record 5
The following is a theoretical powder diffractogram of MgNiWS4. It was derived from a crystal structure in the Materials Project, relaxed with PBE, using Cu Kα (weighted mean of Kα1 and Kα2).
Kinematic intensities with the Lorentz-polarization factor, no thermal factor.

Structural model:
```
data_MgNiWS4
_chemical_formula_sum 'Mg4 Ni4 W4 S16'
_symmetry_space_group_name_H-M 'C 1 m 1'
_symmetry_Int_Tables_number 8
_symmetry_space_group_name_Hall 'C -2y'
_cell_length_a 12.892
_cell_length_b 6.873
_cell_length_c 7.238
_cell_angle_alpha 90.00
_cell_angle_beta 124.11
_cell_angle_gamma 90.00
loop_
_atom_site_label
_atom_site_fract_x
_atom_site_fract_y
_atom_site_fract_z
Mg1 0.000 0.000 0.000
Mg2 0.232 0.000 0.733
Ni1 0.116 0.500 0.366
Ni2 0.116 0.500 0.866
W1 0.366 0.249 0.366
S1 0.095 0.282 0.596
S2 0.137 0.282 0.137
S3 0.353 0.500 0.117
S4 0.353 0.500 0.591
S5 0.379 0.000 0.141
S6 0.379 0.000 0.617
```

Top 10 peaks for 5 to 70 degrees two-theta, low angle first:
2θ 14.8, d = 5.991 Å, I 100.0, (0 0 1)
2θ 15.3, d = 5.779 Å, I 13.2, (1 1 0)
2θ 16.6, d = 5.337 Å, I 15.3, (2 0 0)
2θ 27.9, d = 3.193 Å, I 23.3, (2 0 1)
2θ 30.0, d = 2.981 Å, I 47.9, (0 2 1)
2θ 33.6, d = 2.669 Å, I 25.8, (4 0 0)
2θ 36.0, d = 2.492 Å, I 43.6, (2 2 -2)
2θ 44.2, d = 2.048 Å, I 11.5, (4 0 1)
2θ 46.8, d = 1.942 Å, I 17.0, (4 2 -3)
2θ 50.1, d = 1.821 Å, I 40.8, (2 2 2)

Record 6
The following is a theoretical powder diffractogram of ZrOs. It was derived from a crystal structure in the Materials Project, relaxed with PBE, using Cu Kα (weighted mean of Kα1 and Kα2).
Kinematic intensities with the Lorentz-polarization factor, no thermal factor.

Structural model:
```
data_ZrOs
_chemical_formula_sum 'Zr1 Os1'
_symmetry_space_group_name_H-M 'P m -3 m'
_symmetry_Int_Tables_number 221
_symmetry_space_group_name_Hall '-P 4 2 3'
_cell_length_a 3.290
_cell_length_b 3.290
_cell_length_c 3.290
_cell_angle_alpha 90.00
_cell_angle_beta 90.00
_cell_angle_gamma 90.00
loop_
_atom_site_label
_atom_site_fract_x
_atom_site_fract_y
_atom_site_fract_z
Zr1 0.000 0.000 0.000
Os1 0.500 0.500 0.500
```

Top 5 peaks for 5 to 70 degrees two-theta, low angle first:
2θ 27.1, d = 3.290 Å, I 13.7, (1 0 0)
2θ 38.7, d = 2.327 Å, I 100.0, (1 1 0)
2θ 47.9, d = 1.900 Å, I 4.2, (1 1 1)
2θ 55.9, d = 1.645 Å, I 17.2, (2 0 0)
2θ 63.2, d = 1.472 Å, I 5.8, (2 1 0)